# 1
Starting from a PBE-relaxed structure, the powder diffractogram of Cu2TeSeS2 was simulated for Cu Kα (λ = 1.5418 Å).
No peak broadening, texture or thermal motion is included.

Top 10 peaks for 10 to 80 degrees two-theta, sorted by position:
Position (°2θ)  Rel. int.
23.24  94
26.30  59
27.33  37
28.13  52
28.61  100
30.01  76
31.58  35
37.17  37
42.76  48
51.55  59

Crystal structure
```
data_Cu2TeSeS2
_space_group_name_H-M_alt 'C m c 21'
_space_group_IT_number 36
_space_group_name_Hall 'C 2c -2'
_cell_length_a 11.3355
_cell_length_b 7.6549
_cell_length_c 6.2410
_cell_angle_alpha 90.00
_cell_angle_beta 90.00
_cell_angle_gamma 90.00
loop_
_atom_site_label
_atom_site_fract_x
_atom_site_fract_y
_atom_site_fract_z
Cu1 0.1842 0.1461 0.0000
Te1 0.0000 0.2814 0.4601
Se1 0.0000 0.2728 0.8749
S1 0.1913 0.1368 0.3686
```


# 2
Starting from a PBE-relaxed structure, the powder diffractogram of Nb4PbSe8 was simulated for Cu Kα (λ = 1.5418 Å).
No peak broadening, texture or thermal motion is included.

Top 10 peaks for 10 to 80 degrees two-theta, sorted by position:
Position (°2θ)  Rel. int.
11.19  74
15.65  46
31.52  43
31.66  56
37.19  45
37.29  28
37.48  100
45.49  25
45.88  32
52.24  59

Crystal structure
```
data_Nb4PbSe8
_space_group_name_H-M_alt 'C 1 2/m 1'
_space_group_IT_number 12
_space_group_name_Hall '-C 2y'
_cell_length_a 12.1354
_cell_length_b 7.0018
_cell_length_c 9.9202
_cell_angle_alpha 90.00
_cell_angle_beta 127.16
_cell_angle_gamma 90.00
loop_
_atom_site_label
_atom_site_fract_x
_atom_site_fract_y
_atom_site_fract_z
Nb1 0.0000 0.2443 0.0000
Nb2 0.2478 0.0000 0.9988
Pb1 0.0000 0.5000 0.5000
Se1 0.0221 0.5000 0.2103
Se2 0.0233 0.0000 0.2159
Se3 0.2288 0.2481 0.7865
```


# 3
Starting from a PBE-relaxed structure, the powder diffractogram of Hf4TiGe5 was simulated for Cu Kα (λ = 1.5418 Å).
No peak broadening, texture or thermal motion is included.

Top 10 peaks for 10 to 80 degrees two-theta, sorted by position:
Position (°2θ)  Rel. int.
14.71  5
19.47  6
28.69  23
33.24  100
47.72  73
56.67  7
59.40  25
69.86  8
79.43  11
79.58  21

Crystal structure
```
data_Hf4TiGe5
_space_group_name_H-M_alt 'I 4/m'
_space_group_IT_number 87
_space_group_name_Hall '-I 4'
_cell_length_a 8.5160
_cell_length_b 8.5160
_cell_length_c 5.3983
_cell_angle_alpha 90.00
_cell_angle_beta 90.00
_cell_angle_gamma 90.00
loop_
_atom_site_label
_atom_site_fract_x
_atom_site_fract_y
_atom_site_fract_z
Hf1 0.0970 0.3012 0.0000
Ti1 0.0000 0.0000 0.5000
Ge1 0.0000 0.0000 0.0000
Ge2 0.0991 0.2926 0.5000
```


# 4
Starting from a PBE-relaxed structure, the powder diffractogram of PuUSbAu was simulated for Cu Kα (λ = 1.5418 Å).
No peak broadening, texture or thermal motion is included.

Top 10 peaks for 10 to 80 degrees two-theta, sorted by position:
Position (°2θ)  Rel. int.
20.81  2
24.08  4
34.31  100
40.47  1
42.36  1
49.31  18
55.60  2
61.45  38
72.31  12
77.47  1

Crystal structure
```
data_PuUSbAu
_space_group_name_H-M_alt 'F -4 3 m'
_space_group_IT_number 216
_space_group_name_Hall 'F -4 2 3'
_cell_length_a 7.3921
_cell_length_b 7.3921
_cell_length_c 7.3921
_cell_angle_alpha 90.00
_cell_angle_beta 90.00
_cell_angle_gamma 90.00
loop_
_atom_site_label
_atom_site_fract_x
_atom_site_fract_y
_atom_site_fract_z
Pu1 0.0000 0.0000 0.0000
U1 0.0000 0.0000 0.5000
Sb1 0.2500 0.2500 0.7500
Au1 0.2500 0.2500 0.2500
```